No. 1
Diffraction record for LaFe2Si2. The X-ray diffraction stick pattern is theoretical, not measured: it uses DFT lattice parameters and positions (GGA-PBE) and Cu Ka.
Peak positions follow from Bragg's law for the DFT cell and can differ from measured ones.

Top 10 peaks for 10 to 90 degrees two-theta, in order of falling intensity:
d 2.485, I 100
d 2.566, I 57
d 3.757, I 43
d 2.029, I 38
d 1.434, I 33
d 1.242, I 26
d 1.592, I 26
d 1.785, I 23
d 1.571, I 14
d 1.340, I 12

Atomic structure:
a b c (Å): 5.736 5.736 5.736
angles (deg): 138.56 138.56 60.05
Fractional coordinates of all 5 atoms:
La 0.000 0.000 0.000
Fe 0.250 0.750 0.500
Fe 0.750 0.250 0.500
Si 0.356 0.356 0.000
Si 0.644 0.644 0.000



No. 2
Diffraction record for LaFe8Si5. The X-ray diffraction stick pattern is theoretical, not measured: it uses DFT lattice parameters and positions (GGA-PBE) and Cu Ka.
Peak positions follow from Bragg's law for the DFT cell and can differ from measured ones.

Top 10 peaks for 10 to 90 degrees two-theta, in order of falling intensity:
d 2.292, I 100
d 1.903, I 67
d 2.513, I 50
d 2.560, I 44
d 1.890, I 38
d 1.930, I 29
d 2.327, I 29
d 3.258, I 28
d 2.498, I 24
d 1.629, I 18

Atomic structure:
a b c (Å): 8.025 8.025 8.025
angles (deg): 121.02 121.02 88.24
Fractional coordinates of all 28 atoms:
La 0.250 0.250 0.000
La 0.750 0.750 0.000
Fe 0.060 0.798 0.858
Fe 0.061 0.561 0.273
Fe 0.202 0.060 0.262
Fe 0.212 0.939 0.500
Fe 0.288 0.788 0.727
Fe 0.298 0.560 0.858
Fe 0.439 0.712 0.500
Fe 0.440 0.298 0.738
Fe 0.560 0.702 0.262
Fe 0.561 0.288 0.500
Fe 0.702 0.440 0.142
Fe 0.712 0.212 0.273
Fe 0.788 0.061 0.500
Fe 0.798 0.940 0.738
Fe 0.939 0.439 0.727
Fe 0.940 0.202 0.142
Si 0.000 0.500 0.500
Si 0.054 0.190 0.500
Si 0.190 0.690 0.135
Si 0.310 0.446 0.500
Si 0.446 0.946 0.135
Si 0.500 0.000 0.500
Si 0.554 0.054 0.865
Si 0.690 0.554 0.500
Si 0.810 0.310 0.865
Si 0.946 0.810 0.500



No. 3
Diffraction record for LaFeSi2. The X-ray diffraction stick pattern is theoretical, not measured: it uses DFT lattice parameters and positions (GGA-PBE) and Cu Ka.
Peak positions follow from Bragg's law for the DFT cell and can differ from measured ones.

Top 10 peaks for 10 to 90 degrees two-theta, in order of falling intensity:
d 2.588, I 100
d 2.642, I 44
d 3.665, I 35
d 2.332, I 26
d 2.082, I 24
d 2.028, I 22
d 4.045, I 20
d 1.609, I 19
d 1.371, I 17
d 1.811, I 15

Atomic structure:
a b c (Å): 8.799 8.799 4.056
angles (deg): 90.00 90.00 152.63
Fractional coordinates of all 8 atoms:
La 0.108 0.892 0.750
La 0.892 0.108 0.250
Fe 0.250 0.750 0.250
Fe 0.750 0.250 0.750
Si 0.310 0.690 0.750
Si 0.463 0.537 0.750
Si 0.537 0.463 0.250
Si 0.690 0.310 0.250



No. 4
Diffraction record for La2FeSi3. The X-ray diffraction stick pattern is theoretical, not measured: it uses DFT lattice parameters and positions (GGA-PBE) and Cu Ka.
Peak positions follow from Bragg's law for the DFT cell and can differ from measured ones.

Top 10 peaks for 10 to 90 degrees two-theta, in order of falling intensity:
d 2.733, I 100
d 3.501, I 32
d 2.021, I 30
d 1.484, I 21
d 1.625, I 20
d 1.267, I 18
d 2.187, I 12
d 1.855, I 11
d 1.346, I 10
d 4.374, I 7

Atomic structure:
a b c (Å): 4.043 4.043 8.748
angles (deg): 90.00 90.00 120.00
Fractional coordinates of all 6 atoms:
La 0.000 0.000 0.243
La 0.000 0.000 0.757
Fe 0.333 0.667 0.000
Si 0.333 0.667 0.500
Si 0.667 0.333 0.000
Si 0.667 0.333 0.500



No. 5
Diffraction record for La2FeSn4. The X-ray diffraction stick pattern is theoretical, not measured: it uses DFT lattice parameters and positions (GGA-PBE) and Cu Ka.
Peak positions follow from Bragg's law for the DFT cell and can differ from measured ones.

Top 10 peaks for 10 to 90 degrees two-theta, in order of falling intensity:
d 2.869, I 100
d 2.346, I 21
d 2.334, I 21
d 1.436, I 21
d 2.879, I 16
d 1.655, I 15
d 2.451, I 14
d 1.431, I 13
d 2.782, I 9
d 1.695, I 9

Atomic structure:
a b c (Å): 4.668 8.951 8.951
angles (deg): 30.39 90.00 90.00
Fractional coordinates of all 7 atoms:
La 0.000 0.000 0.000
La 0.500 0.207 0.207
Fe 0.500 0.405 0.405
Sn 0.000 0.350 0.350
Sn 0.000 0.663 0.663
Sn 0.500 0.552 0.552
Sn 0.500 0.847 0.847



No. 6
Diffraction record for Li3Fe. The X-ray diffraction stick pattern is theoretical, not measured: it uses DFT lattice parameters and positions (GGA-PBE) and Cu Ka.
Peak positions follow from Bragg's law for the DFT cell and can differ from measured ones.

Top 10 peaks for 10 to 90 degrees two-theta, in order of falling intensity:
d 3.315, I 100
d 2.133, I 54
d 4.828, I 46
d 2.787, I 42
d 1.694, I 27
d 1.765, I 20
d 2.280, I 15
d 1.167, I 13
d 2.414, I 13
d 1.285, I 9

Atomic structure:
a b c (Å): 5.574 5.574 4.560
angles (deg): 90.00 90.00 120.00
Fractional coordinates of all 8 atoms:
Li 0.173 0.346 0.250
Li 0.173 0.827 0.250
Li 0.346 0.173 0.750
Li 0.654 0.827 0.250
Li 0.827 0.173 0.750
Li 0.827 0.654 0.750
Fe 0.333 0.667 0.750
Fe 0.667 0.333 0.250



No. 7
Diffraction record for LiFe. The X-ray diffraction stick pattern is theoretical, not measured: it uses DFT lattice parameters and positions (GGA-PBE) and Cu Ka.
Peak positions follow from Bragg's law for the DFT cell and can differ from measured ones.

Top 10 peaks for 10 to 90 degrees two-theta, in order of falling intensity:
d 4.527, I 100
d 2.052, I 54
d 2.036, I 31
d 1.728, I 30
d 2.264, I 21
d 2.280, I 16
d 1.373, I 13
d 1.268, I 10
d 1.606, I 9
d 1.179, I 7

Atomic structure:
a b c (Å): 4.681 4.681 4.560
angles (deg): 90.00 90.00 150.59
Fractional coordinates of all 4 atoms:
Li 0.000 0.000 0.000
Li 0.000 0.000 0.500
Fe 0.257 0.743 0.750
Fe 0.743 0.257 0.250



No. 8
Diffraction record for LiMg14Fe. The X-ray diffraction stick pattern is theoretical, not measured: it uses DFT lattice parameters and positions (GGA-PBE) and Cu Ka.
Peak positions follow from Bragg's law for the DFT cell and can differ from measured ones.

Top 10 peaks for 10 to 90 degrees two-theta, in order of falling intensity:
d 2.381, I 100
d 2.724, I 25
d 2.450, I 24
d 1.324, I 18
d 1.573, I 17
d 1.401, I 17
d 4.762, I 15
d 1.822, I 14
d 1.312, I 13
d 2.995, I 4

Atomic structure:
a b c (Å): 6.291 6.291 9.801
angles (deg): 90.00 90.00 120.00
Fractional coordinates of all 16 atoms:
Li 0.000 0.000 0.000
Mg 0.003 0.501 0.000
Mg 0.160 0.320 0.259
Mg 0.160 0.320 0.741
Mg 0.160 0.840 0.259
Mg 0.160 0.840 0.741
Mg 0.499 0.501 0.000
Mg 0.499 0.997 0.000
Mg 0.501 0.001 0.500
Mg 0.501 0.499 0.500
Mg 0.667 0.333 0.247
Mg 0.667 0.333 0.753
Mg 0.680 0.840 0.259
Mg 0.680 0.840 0.741
Mg 0.999 0.499 0.500
Fe 0.000 0.000 0.500



No. 9
Diffraction record for LiMg14Fe. The X-ray diffraction stick pattern is theoretical, not measured: it uses DFT lattice parameters and positions (GGA-PBE) and Cu Ka.
Peak positions follow from Bragg's law for the DFT cell and can differ from measured ones.

Top 10 peaks for 10 to 90 degrees two-theta, in order of falling intensity:
d 2.402, I 100
d 2.385, I 46
d 2.478, I 35
d 2.746, I 23
d 1.330, I 17
d 1.576, I 17
d 1.416, I 16
d 4.804, I 14
d 2.721, I 13
d 1.840, I 13

Atomic structure:
a b c (Å): 9.912 6.304 6.304
angles (deg): 60.60 90.00 90.00
Fractional coordinates of all 16 atoms:
Li 0.000 0.000 0.000
Mg 0.000 0.494 0.998
Mg 0.000 0.998 0.494
Mg 0.235 0.177 0.666
Mg 0.235 0.666 0.177
Mg 0.240 0.662 0.662
Mg 0.251 0.166 0.166
Mg 0.500 0.498 0.498
Mg 0.500 0.502 0.998
Mg 0.500 0.997 0.997
Mg 0.500 0.998 0.502
Mg 0.749 0.166 0.166
Mg 0.760 0.662 0.662
Mg 0.765 0.177 0.666
Mg 0.765 0.666 0.177
Fe 0.000 0.499 0.499



No. 10
Diffraction record for LiMg6Fe. The X-ray diffraction stick pattern is theoretical, not measured: it uses DFT lattice parameters and positions (GGA-PBE) and Cu Ka.
Peak positions follow from Bragg's law for the DFT cell and can differ from measured ones.

Top 10 peaks for 10 to 90 degrees two-theta, in order of falling intensity:
d 2.354, I 100
d 2.456, I 34
d 2.292, I 31
d 2.592, I 20
d 2.682, I 18
d 1.398, I 17
d 3.623, I 15
d 5.363, I 14
d 1.288, I 13
d 5.184, I 13

Atomic structure:
a b c (Å): 4.912 6.057 6.057
angles (deg): 62.30 90.00 90.00
Fractional coordinates of all 8 atoms:
Li 0.000 0.000 0.000
Mg 0.000 0.003 0.471
Mg 0.000 0.471 0.003
Mg 0.000 0.493 0.493
Mg 0.500 0.166 0.680
Mg 0.500 0.671 0.671
Mg 0.500 0.680 0.166
Fe 0.500 0.178 0.178



No. 11
Diffraction record for LiMg6Fe. The X-ray diffraction stick pattern is theoretical, not measured: it uses DFT lattice parameters and positions (GGA-PBE) and Cu Ka.
Peak positions follow from Bragg's law for the DFT cell and can differ from measured ones.

Top 10 peaks for 10 to 90 degrees two-theta, in order of falling intensity:
d 2.369, I 100
d 2.317, I 43
d 5.420, I 39
d 2.441, I 36
d 3.627, I 23
d 2.710, I 23
d 1.395, I 17
d 1.299, I 17
d 1.535, I 15
d 1.814, I 13

Atomic structure:
a b c (Å): 4.882 6.142 6.142
angles (deg): 61.95 90.00 90.00
Fractional coordinates of all 8 atoms:
Li 0.000 0.000 0.000
Mg 0.000 0.000 0.499
Mg 0.000 0.499 0.000
Mg 0.500 0.334 0.815
Mg 0.500 0.337 0.337
Mg 0.500 0.815 0.334
Mg 0.500 0.833 0.833
Fe 0.000 0.500 0.500



No. 12
Diffraction record for LiFe2N2. The X-ray diffraction stick pattern is theoretical, not measured: it uses DFT lattice parameters and positions (GGA-PBE) and Cu Ka.
Peak positions follow from Bragg's law for the DFT cell and can differ from measured ones.

Top 10 peaks for 10 to 90 degrees two-theta, in order of falling intensity:
d 4.211, I 100
d 2.369, I 79
d 2.386, I 56
d 2.497, I 54
d 2.289, I 49
d 3.157, I 48
d 2.603, I 34
d 1.491, I 33
d 2.105, I 32
d 1.796, I 31

Atomic structure:
a b c (Å): 4.962 5.968 5.949
angles (deg): 90.00 92.70 90.00
Fractional coordinates of all 20 atoms:
Li 0.132 0.036 0.361
Li 0.132 0.464 0.861
Li 0.868 0.536 0.139
Li 0.868 0.964 0.639
Fe 0.182 0.633 0.476
Fe 0.182 0.867 0.976
Fe 0.399 0.163 0.765
Fe 0.399 0.337 0.265
Fe 0.601 0.663 0.735
Fe 0.601 0.837 0.235
Fe 0.818 0.133 0.024
Fe 0.818 0.367 0.524
N 0.201 0.179 0.036
N 0.201 0.321 0.536
N 0.301 0.646 0.185
N 0.301 0.854 0.685
N 0.699 0.146 0.315
N 0.699 0.354 0.815
N 0.799 0.679 0.464
N 0.799 0.821 0.964



No. 13
Diffraction record for Li6FeN4. The X-ray diffraction stick pattern is theoretical, not measured: it uses DFT lattice parameters and positions (GGA-PBE) and Cu Ka.
Peak positions follow from Bragg's law for the DFT cell and can differ from measured ones.

Top 10 peaks for 10 to 90 degrees two-theta, in order of falling intensity:
d 3.908, I 100
d 4.580, I 50
d 2.494, I 37
d 1.673, I 21
d 2.702, I 21
d 1.976, I 19
d 3.239, I 18
d 1.619, I 13
d 1.423, I 13
d 2.161, I 13

Atomic structure:
a b c (Å): 6.477 6.477 4.901
angles (deg): 90.00 90.00 90.00
Fractional coordinates of all 22 atoms:
Li 0.035 0.535 0.250
Li 0.035 0.965 0.250
Li 0.250 0.250 0.138
Li 0.250 0.250 0.638
Li 0.465 0.535 0.250
Li 0.465 0.965 0.250
Li 0.535 0.035 0.750
Li 0.535 0.465 0.750
Li 0.750 0.750 0.362
Li 0.750 0.750 0.862
Li 0.965 0.035 0.750
Li 0.965 0.465 0.750
Fe 0.250 0.750 0.750
Fe 0.750 0.250 0.250
N 0.016 0.750 0.565
N 0.250 0.516 0.935
N 0.250 0.984 0.935
N 0.484 0.750 0.565
N 0.516 0.250 0.435
N 0.750 0.016 0.065
N 0.750 0.484 0.065
N 0.984 0.250 0.435